Structure and theoretical PXRD pattern of SrSmCo4O12 (a cell relaxed with GGA+U; Cu Kα, 1.54184 Å).

a = 5.3064 Å, b = 5.3064 Å, c = 7.5422 Å
α = 90.00°, β = 90.00°, γ = 90.00°
Element x y z (fractional)
Sr (0.0000, 0.0000, 0.0000)
Sm (0.5000, 0.5000, 0.5000)
Co (0.0000, 0.5000, 0.2464)
Co (0.0000, 0.5000, 0.7536)
Co (0.5000, 0.0000, 0.2464)
Co (0.5000, 0.0000, 0.7536)
O (0.0000, 0.5000, 0.0000)
O (0.0000, 0.5000, 0.5000)
O (0.2570, 0.2570, 0.2607)
O (0.2570, 0.2570, 0.7393)
O (0.2570, 0.7430, 0.2607)
O (0.2570, 0.7430, 0.7393)
O (0.5000, 0.0000, 0.0000)
O (0.5000, 0.0000, 0.5000)
O (0.7430, 0.2570, 0.2607)
O (0.7430, 0.2570, 0.7393)
O (0.7430, 0.7430, 0.2607)
O (0.7430, 0.7430, 0.7393)

The 10 most intense peaks (2θ = 10–80°), in order of rising 2θ:
| index | 2θ/deg | I/Imax |
| --- | --- | --- |
| 1 0 1 | 20.46 | 76 |
| 2 0 0 | 33.73 | 100 |
| 1 0 3 | 39.67 | 14 |
| 2 1 1 | 39.82 | 27 |
| 0 0 4 | 48.27 | 15 |
| 2 2 0 | 48.52 | 29 |
| 2 1 3 | 53.07 | 12 |
| 2 0 4 | 60.21 | 13 |
| 3 1 2 | 60.38 | 25 |
| 2 2 4 | 70.85 | 16 |